Simulated X-ray diffraction stick pattern of CsIF4 for Cu Kα (λ = 1.5418 Å), from the GGA-PBE geometry in Alexandria.
Lines closer than 0.1° are merged.

The 8 most intense peaks (15° ≤ 2θ ≤ 90°), sorted by position:
21.1 deg, intensity 53
21.7 deg, intensity 100
26.8 deg, intensity 37
29.2 deg, intensity 27
33.8 deg, intensity 45
39.6 deg, intensity 20
44.8 deg, intensity 27
52.9 deg, intensity 20

Cell and atoms:
```
data_CsIF4
_cell_length_a 12.8490
_cell_length_b 5.4032
_cell_length_c 9.1705
_cell_angle_alpha 90.00
_cell_angle_beta 107.99
_cell_angle_gamma 90.00
_space_group_name_H-M_alt 'C 1 2/c 1'
_space_group_IT_number 15
loop_
_space_group_symop_operation_xyz
'x,y,z'
'-x,-y,-z'
'-x,y,-z+1/2'
'x,-y,z+1/2'
'x+1/2,y+1/2,z'
'-x+1/2,-y+1/2,-z'
'-x+1/2,y+1/2,-z+1/2'
'x+1/2,-y+1/2,z+1/2'
loop_
_atom_site_label
_atom_site_fract_x
_atom_site_fract_y
_atom_site_fract_z
Cs1 0.0000 0.2368 0.2500
I1 0.2500 0.2500 0.0000
F1 0.0820 0.2431 0.9571
F2 0.2327 0.4518 0.3577
```